1.
Diffraction record for TlTcHg2O4. The PXRD pattern is computed, not measured: it uses the GGA-PBE geometry in Alexandria and Cu Kα X-rays.
No peak broadening, texture or thermal motion is included.

Largest 10 diffraction maxima, most intense first, 5 to 70 degrees two-theta:
2theta, intensity
24.9, 100
28.2, 82
34.1, 53
24.2, 40
11.5, 32
32.1, 30
23.1, 25
53.8, 24
41.5, 24
49.6, 23

Cell and atoms:
Cell: 8.7045 8.4542 5.3270 Å, 74.49 69.37 36.14°
Fractional positions:
Tl 0.0000 0.0000 0.0000
Tc 0.6055 0.6055 0.3945
Hg 0.3360 0.3360 0.1640
Hg 0.8360 0.8360 0.6640
O 0.3637 0.7137 0.2863
O 0.4627 0.8759 0.5373
O 0.7137 0.3637 0.6363
O 0.8759 0.4627 0.1241

***

2.
Diffraction record for Li2PaNb3N8. The PXRD pattern is computed, not measured: it uses the GGA-PBE geometry in Alexandria and Cu Kα X-rays.
No peak broadening, texture or thermal motion is included.

Largest 10 diffraction maxima, most intense first, 5 to 70 degrees two-theta:
2theta, intensity
33.1, 100
19.8, 49
53.0, 40
28.1, 40
17.1, 38
58.1, 29
34.6, 20
45.1, 17
49.7, 17
43.9, 15

Cell and atoms:
Cell: 6.3540 6.3540 6.3540 Å, 59.94 59.94 59.94°
Fractional positions:
Li 0.0000 0.0000 0.0000
Li 0.3749 0.3749 0.3749
Pa 0.6176 0.6176 0.6176
Nb 0.0025 0.0025 0.4761
Nb 0.0025 0.4761 0.0025
Nb 0.4761 0.0025 0.0025
N 0.2103 0.7574 0.7574
N 0.2381 0.2381 0.2381
N 0.2553 0.2553 0.7817
N 0.2553 0.7817 0.2553
N 0.7574 0.2103 0.7574
N 0.7574 0.7574 0.2103
N 0.7580 0.7580 0.7580
N 0.7817 0.2553 0.2553

***

3.
Diffraction record for Li3Se. The PXRD pattern is computed, not measured: it uses the GGA-PBE geometry in Alexandria and Cu Kα X-rays.
No peak broadening, texture or thermal motion is included.

Largest 10 diffraction maxima, most intense first, 5 to 70 degrees two-theta:
2theta, intensity
23.6, 100
20.7, 96
43.7, 69
22.6, 67
28.8, 66
30.8, 61
45.0, 36
39.6, 34
56.4, 30
40.2, 29

Cell and atoms:
Cell: 6.7399 7.8791 5.5759 Å, 90.00 90.00 90.00°
Fractional positions:
Li 0.0306 0.2500 0.0990
Li 0.1727 0.0536 0.6758
Li 0.1727 0.4464 0.6758
Li 0.3273 0.5536 0.1758
Li 0.3273 0.9464 0.1758
Li 0.4694 0.7500 0.5990
Li 0.5306 0.2500 0.4010
Li 0.6727 0.0536 0.8242
Li 0.6727 0.4464 0.8242
Li 0.8273 0.5536 0.3242
Li 0.8273 0.9464 0.3242
Li 0.9694 0.7500 0.9010
Se 0.1100 0.7500 0.4711
Se 0.3900 0.2500 0.9711
Se 0.6100 0.7500 0.0289
Se 0.8900 0.2500 0.5289

***

4.
Diffraction record for Zn2Pt13. The PXRD pattern is computed, not measured: it uses the GGA-PBE geometry in Alexandria and Cu Kα X-rays.
No peak broadening, texture or thermal motion is included.

Largest 10 diffraction maxima, most intense first, 5 to 70 degrees two-theta:
2theta, intensity
39.7, 100
42.1, 52
41.5, 44
40.5, 40
39.5, 34
41.3, 32
44.6, 31
43.0, 30
41.0, 26
38.4, 25

Cell and atoms:
Cell: 6.7239 6.7338 7.0077 Å, 118.53 115.96 91.91°
Fractional positions:
Zn 0.1558 0.1919 0.2508
Zn 0.8442 0.8081 0.7492
Pt 0.0567 0.7420 0.1305
Pt 0.1030 0.4128 0.6464
Pt 0.2037 0.0429 0.6979
Pt 0.3357 0.8727 0.9991
Pt 0.3794 0.6585 0.5697
Pt 0.4092 0.5257 0.1469
Pt 0.5000 0.0000 0.5000
Pt 0.5908 0.4743 0.8531
Pt 0.6206 0.3415 0.4303
Pt 0.6643 0.1273 0.0009
Pt 0.7963 0.9571 0.3021
Pt 0.8970 0.5872 0.3536
Pt 0.9433 0.2580 0.8695

***

5.
Diffraction record for Ho8GaRu2. The PXRD pattern is computed, not measured: it uses the GGA-PBE geometry in Alexandria and Cu Kα X-rays.
No peak broadening, texture or thermal motion is included.

Largest 10 diffraction maxima, most intense first, 5 to 70 degrees two-theta:
2theta, intensity
30.4, 100
32.5, 93
33.2, 66
35.1, 56
33.8, 46
38.5, 39
56.7, 35
39.2, 30
53.6, 28
66.1, 27

Cell and atoms:
Cell: 7.7616 7.7616 5.4407 Å, 97.91 97.91 112.57°
Fractional positions:
Ho 0.0000 0.0000 0.0000
Ho 0.0473 0.3108 0.6096
Ho 0.1373 0.6176 0.1957
Ho 0.3108 0.0473 0.6096
Ho 0.4438 0.7073 0.7818
Ho 0.6176 0.1373 0.1957
Ho 0.7073 0.4438 0.7818
Ho 0.7544 0.7544 0.3914
Ga 0.3771 0.3771 0.1976
Ru 0.0644 0.6899 0.6955
Ru 0.6899 0.0644 0.6955